Record 1
Theoretical X-ray powder pattern
Compound: Sm4EuS5
Radiation: Cu Kα (λ = 1.5418 Å)
Structure: a crystal structure in the Materials Project, relaxed with GGA-PBE
Intensities are scaled so that the largest is 100.

The 6 most intense peaks (2θ from 10° to 90°), in order of rising 2θ:
d/Å	I/Imax
3.297	58
2.848	100
2.022	37
2.005	35
1.718	19
1.649	19

```
data_Sm4EuS5
_symmetry_space_group_name_H-M 'R -3 m'
_symmetry_Int_Tables_number 166
_symmetry_space_group_name_Hall '-R 3 2"'
_cell_length_a 4.0439
_cell_length_b 4.0439
_cell_length_c 48.9213
_cell_angle_alpha 90.00
_cell_angle_beta 90.00
_cell_angle_gamma 120.00
loop_
_atom_site_label
_atom_site_type_symbol
_atom_site_fract_x
_atom_site_fract_y
_atom_site_fract_z
Sm1 Sm 0.0000 0.0000 0.0982
Sm2 Sm 0.0000 0.0000 0.2992
Eu1 Eu 0.0000 0.0000 0.5000
S1 S 0.0000 0.0000 0.0000
S2 S 0.0000 0.0000 0.2015
S3 S 0.0000 0.0000 0.3996
```



Record 2
Theoretical X-ray powder pattern
Compound: Cs2TlAgCl6
Radiation: Cu Kα (λ = 1.5418 Å)
Structure: a crystal structure in the Materials Project, relaxed with GGA-PBE
Intensities are scaled so that the largest is 100.

The 6 most intense peaks (2θ from 10° to 90°), in order of rising 2θ:
d/Å	I/Imax
3.809	100
2.693	51
2.199	46
1.904	35
1.703	21
1.440	25

```
data_Cs2TlAgCl6
_symmetry_space_group_name_H-M 'F m -3 m'
_symmetry_Int_Tables_number 225
_symmetry_space_group_name_Hall '-F 4 2 3'
_cell_length_a 10.773
_cell_length_b 10.773
_cell_length_c 10.773
_cell_angle_alpha 90.00
_cell_angle_beta 90.00
_cell_angle_gamma 90.00
loop_
_atom_site_label
_atom_site_type_symbol
_atom_site_fract_x
_atom_site_fract_y
_atom_site_fract_z
Cs1 Cs 0.250 0.250 0.250
Tl1 Tl 0.000 0.000 0.000
Ag1 Ag 0.000 0.000 0.500
Cl1 Cl 0.000 0.000 0.248
```



Repeat the second record exactly.
Theoretical X-ray powder pattern
Compound: Cs2TlAgCl6
Radiation: Cu Kα (λ = 1.5418 Å)
Structure: a crystal structure in the Materials Project, relaxed with GGA-PBE
Intensities are scaled so that the largest is 100.

The 6 most intense peaks (2θ from 10° to 90°), in order of rising 2θ:
d/Å	I/Imax
3.809	100
2.693	51
2.199	46
1.904	35
1.703	21
1.440	25

```
data_Cs2TlAgCl6
_symmetry_space_group_name_H-M 'F m -3 m'
_symmetry_Int_Tables_number 225
_symmetry_space_group_name_Hall '-F 4 2 3'
_cell_length_a 10.773
_cell_length_b 10.773
_cell_length_c 10.773
_cell_angle_alpha 90.00
_cell_angle_beta 90.00
_cell_angle_gamma 90.00
loop_
_atom_site_label
_atom_site_type_symbol
_atom_site_fract_x
_atom_site_fract_y
_atom_site_fract_z
Cs1 Cs 0.250 0.250 0.250
Tl1 Tl 0.000 0.000 0.000
Ag1 Ag 0.000 0.000 0.500
Cl1 Cl 0.000 0.000 0.248
```